Theoretical powder diffraction line list
Compound: AgPbBr6
Radiation: a wavelength of 1.5418 Å
Structure: a cell relaxed with PBE

The 10 most intense peaks (15 to 90 degrees two-theta), by intensity:
| hkl | Position (°2θ) | I_rel |
| --- | --- | --- |
| 2 2 2 | 30.73 | 1000 |
| 4 0 0 | 35.63 | 966 |
| 1 1 1 | 15.23 | 775 |
| 4 4 0 | 51.27 | 669 |
| 3 1 1 | 29.39 | 549 |
| 6 2 2 | 60.98 | 417 |
| 8 4 0 | 86.33 | 307 |
| 3 3 1 | 38.95 | 289 |
| 4 4 4 | 64.00 | 227 |
| 3 3 3 | 46.84 | 195 |

Structural model:
```
data_AgPbBr6
_space_group_name_H-M_alt 'F -4 3 m'
_space_group_IT_number 216
_space_group_name_Hall 'F -4 2 3'
_cell_length_a 10.079
_cell_length_b 10.079
_cell_length_c 10.079
_cell_angle_alpha 90.00
_cell_angle_beta 90.00
_cell_angle_gamma 90.00
loop_
_atom_site_label
_atom_site_type_symbol
_atom_site_fract_x
_atom_site_fract_y
_atom_site_fract_z
_atom_site_occupancy
Ag1 Ag 0.000 0.000 0.000 1
Pb1 Pb 0.250 0.250 0.250 1
Br1 Br 0.000 0.000 0.256 1
```

Theoretical powder diffraction line list
Compound: RbLiZn2O3
Radiation: a wavelength of 1.5418 Å
Structure: a cell relaxed with PBE

The 10 most intense peaks (15 to 90 degrees two-theta), by intensity:
| hkl | Position (°2θ) | I_rel |
| --- | --- | --- |
| 3 2 0 | 31.16 | 1000 |
| 3 1 1 | 38.03 | 812 |
| 2 1 1 | 32.52 | 695 |
| 4 0 0 | 34.67 | 688 |
| 3 0 1 | 36.98 | 611 |
| 1 1 1 | 28.78 | 483 |
| 6 1 1 | 60.79 | 402 |
| 6 2 1 | 62.95 | 303 |
| 0 0 2 | 53.50 | 266 |
| 3 2 2 | 63.22 | 266 |

Structural model:
```
data_RbLiZn2O3
_space_group_name_H-M_alt 'P 42/m n m'
_space_group_IT_number 136
_space_group_name_Hall '-P 4n 2n'
_cell_length_a 10.348
_cell_length_b 10.348
_cell_length_c 3.425
_cell_angle_alpha 90.00
_cell_angle_beta 90.00
_cell_angle_gamma 90.00
loop_
_atom_site_label
_atom_site_type_symbol
_atom_site_fract_x
_atom_site_fract_y
_atom_site_fract_z
_atom_site_occupancy
Rb1 Rb 0.109 0.109 0.000 1
Li1 Li 0.200 0.800 0.000 1
Zn1 Zn 0.073 0.673 0.500 1
O1 O 0.115 0.343 0.500 1
O2 O 0.138 0.862 0.500 1
```

Theoretical powder diffraction line list
Compound: Zr
Radiation: a wavelength of 1.5418 Å
Structure: a cell relaxed with PBE

The 10 most intense peaks (15 to 90 degrees two-theta), by intensity:
| hkl | Position (°2θ) | I_rel |
| --- | --- | --- |
| 1 1 1 | 36.66 | 1000 |
| 0 0 2 | 34.61 | 262 |
| 0 2 0 | 32.16 | 241 |
| 1 1 3 | 63.37 | 193 |
| 0 2 2 | 47.97 | 153 |
| 1 3 2 | 68.70 | 132 |
| 1 3 0 | 57.30 | 116 |
| 2 2 1 | 70.10 | 86 |
| 2 0 2 | 68.86 | 66 |
| 2 0 0 | 57.48 | 58 |

Structural model:
```
data_Zr
_space_group_name_H-M_alt 'C m c m'
_space_group_IT_number 63
_space_group_name_Hall '-C 2c 2'
_cell_length_a 3.207
_cell_length_b 5.575
_cell_length_c 5.183
_cell_angle_alpha 90.00
_cell_angle_beta 90.00
_cell_angle_gamma 90.00
loop_
_atom_site_label
_atom_site_type_symbol
_atom_site_fract_x
_atom_site_fract_y
_atom_site_fract_z
_atom_site_occupancy
Zr1 Zr 0.000 0.172 0.250 1
```

Theoretical powder diffraction line list
Compound: ZnInGaTe2S2
Radiation: a wavelength of 1.5418 Å
Structure: a cell relaxed with PBE

The 10 most intense peaks (15 to 90 degrees two-theta), by intensity:
| hkl | Position (°2θ) | I_rel |
| --- | --- | --- |
| 0 2 1 | 26.10 | 1000 |
| 2 4 -2 | 44.58 | 865 |
| 2 2 -1 | 27.10 | 644 |
| 2 2 -2 | 34.29 | 345 |
| 2 0 -1 | 21.84 | 322 |
| 4 2 -3 | 52.35 | 233 |
| 0 0 2 | 41.90 | 229 |
| 2 2 -3 | 50.62 | 207 |
| 0 2 0 | 15.85 | 194 |
| 3 1 -1 | 35.61 | 152 |

Structural model:
```
data_ZnInGaTe2S2
_space_group_name_H-M_alt 'C 1 2 1'
_space_group_IT_number 5
_space_group_name_Hall 'C 2y'
_cell_length_a 8.139
_cell_length_b 11.180
_cell_length_c 5.922
_cell_angle_alpha 90.00
_cell_angle_beta 133.27
_cell_angle_gamma 90.00
loop_
_atom_site_label
_atom_site_type_symbol
_atom_site_fract_x
_atom_site_fract_y
_atom_site_fract_z
_atom_site_occupancy
Zn1 Zn 0.000 0.000 0.000 1
In1 In 0.000 0.506 0.000 1
Ga1 Ga 0.000 0.776 0.500 1
Te1 Te 0.213 0.153 0.475 1
S1 S 0.227 0.878 0.971 1
```